(1)
Simulated X-ray diffraction stick pattern of Mn2ReOs for Cu Ka, from the GGA-PBE geometry in Alexandria.
No peak broadening, texture or thermal motion is included.

Crystal structure
Lattice parameters (Å, degrees): 4.6000 4.6000 4.6000 131.64 131.64 70.80
Fractional coordinates of all 4 atoms:
Mn: 0.0000 0.0000 0.0000
Mn: 0.7500 0.2500 0.5000
Re: 0.5000 0.5000 0.0000
Os: 0.2500 0.7500 0.5000

The 8 most intense peaks (10 to 80 degrees two-theta), by intensity:
- 41.58 deg, I = 100.0
- 26.47 deg, I = 46.2
- 48.30 deg, I = 32.3
- 70.91 deg, I = 20.2
- 48.56 deg, I = 15.9
- 43.44 deg, I = 13.0
- 55.92 deg, I = 12.9
- 70.71 deg, I = 10.2



(2)
Simulated X-ray diffraction stick pattern of NaB12 for Cu Ka, from the GGA-PBE geometry in Alexandria.
No peak broadening, texture or thermal motion is included.

Crystal structure
Lattice parameters (Å, degrees): 4.9919 4.9919 4.9919 90.00 90.00 90.00
Fractional coordinates of all 13 atoms:
Na: 0.0000 0.0000 0.0000
B: 0.0000 0.2534 0.5000
B: 0.0000 0.5000 0.2534
B: 0.0000 0.5000 0.7466
B: 0.0000 0.7466 0.5000
B: 0.2534 0.0000 0.5000
B: 0.2534 0.5000 0.0000
B: 0.5000 0.0000 0.2534
B: 0.5000 0.0000 0.7466
B: 0.5000 0.2534 0.0000
B: 0.5000 0.7466 0.0000
B: 0.7466 0.0000 0.5000
B: 0.7466 0.5000 0.0000

The 8 most intense peaks (10 to 80 degrees two-theta), by intensity:
- 44.45 deg, I = 100.0
- 17.77 deg, I = 55.5
- 35.98 deg, I = 51.6
- 70.60 deg, I = 41.2
- 40.40 deg, I = 26.3
- 31.03 deg, I = 23.3
- 76.30 deg, I = 18.0
- 25.23 deg, I = 12.7



(3)
Simulated X-ray diffraction stick pattern of CdH2Br2 for Cu Ka, from the GGA-PBE geometry in Alexandria.
No peak broadening, texture or thermal motion is included.

Crystal structure
Lattice parameters (Å, degrees): 11.5654 7.0940 6.4546 90.00 97.62 90.00
Fractional coordinates of all 20 atoms:
Cd: 0.1196 0.0666 0.0015
Cd: 0.1196 0.4334 0.5015
Cd: 0.8804 0.5666 0.4985
Cd: 0.8804 0.9334 0.9985
H: 0.0767 0.6408 0.6195
H: 0.0767 0.8592 0.1195
H: 0.4121 0.7125 0.5557
H: 0.4121 0.7875 0.0557
H: 0.5879 0.2125 0.9443
H: 0.5879 0.2875 0.4443
H: 0.9233 0.1408 0.8805
H: 0.9233 0.3592 0.3805
Br: 0.1940 0.0942 0.6288
Br: 0.1940 0.4058 0.1288
Br: 0.4015 0.5872 0.7310
Br: 0.4015 0.9128 0.2310
Br: 0.5985 0.0872 0.7690
Br: 0.5985 0.4128 0.2690
Br: 0.8060 0.5942 0.8712
Br: 0.8060 0.9058 0.3712

The 8 most intense peaks (10 to 80 degrees two-theta), by intensity:
- 19.92 deg, I = 100.0
- 27.95 deg, I = 90.6
- 25.50 deg, I = 81.3
- 41.30 deg, I = 61.9
- 28.78 deg, I = 47.9
- 25.11 deg, I = 42.6
- 52.01 deg, I = 37.9
- 18.68 deg, I = 37.8